Record 1
Calculated powder X-ray diffraction pattern
Compound: Pr2Y4Th
Radiation: CuKα
Structure: DFT lattice parameters and positions (GGA-PBE)
Peak positions follow from Bragg's law for the DFT cell and can differ from measured ones.

Structural model:
```
data_Pr2Y4Th
_space_group_name_H-M_alt 'R -3 m'
_space_group_IT_number 166
_space_group_name_Hall '-R 3 2"'
_cell_length_a 3.5961
_cell_length_b 3.5961
_cell_length_c 63.5514
_cell_angle_alpha 90.00
_cell_angle_beta 90.00
_cell_angle_gamma 120.00
loop_
_atom_site_label
_atom_site_fract_x
_atom_site_fract_y
_atom_site_fract_z
Pr1 0.0000 0.0000 0.2353
Y1 0.0000 0.0000 0.1437
Y2 0.0000 0.0000 0.2898
Th1 0.0000 0.0000 0.0000
```

The 6 most intense peaks (10° ≤ 2θ ≤ 90°), in order of rising 2θ:
two_theta  I/Imax
29.22  68
29.52  91
30.84  71
34.14  100
50.78  62
59.83  68


Record 2
Calculated powder X-ray diffraction pattern
Compound: Pr5Y5Th2
Radiation: CuKα
Structure: DFT lattice parameters and positions (GGA-PBE)
Peak positions follow from Bragg's law for the DFT cell and can differ from measured ones.

Structural model:
```
data_Pr5Y5Th2
_space_group_name_H-M_alt 'C 1 2/m 1'
_space_group_IT_number 12
_space_group_name_Hall '-C 2y'
_cell_length_a 15.4362
_cell_length_b 5.1205
_cell_length_c 11.5410
_cell_angle_alpha 90.00
_cell_angle_beta 116.83
_cell_angle_gamma 90.00
loop_
_atom_site_label
_atom_site_fract_x
_atom_site_fract_y
_atom_site_fract_z
Pr1 0.0000 0.0000 0.0000
Pr2 0.0807 0.0000 0.7465
Pr3 0.2495 0.5000 0.7439
Y1 0.0000 0.5000 0.5000
Y2 0.0859 0.5000 0.2566
Y3 0.1673 0.5000 0.0019
Th1 0.1694 0.0000 0.4986
```

The 6 most intense peaks (10° ≤ 2θ ≤ 90°), in order of rising 2θ:
two_theta  I/Imax
30.06  100
30.19  99
34.86  67
35.05  33
50.27  59
59.49  28


Record 3
Calculated powder X-ray diffraction pattern
Compound: Pr2Y7Th3
Radiation: CuKα
Structure: DFT lattice parameters and positions (GGA-PBE)
Peak positions follow from Bragg's law for the DFT cell and can differ from measured ones.

Structural model:
```
data_Pr2Y7Th3
_space_group_name_H-M_alt 'C m m m'
_space_group_IT_number 65
_space_group_name_Hall '-C 2 2'
_cell_length_a 5.9683
_cell_length_b 37.7933
_cell_length_c 3.5971
_cell_angle_alpha 90.00
_cell_angle_beta 90.00
_cell_angle_gamma 90.00
loop_
_atom_site_label
_atom_site_fract_x
_atom_site_fract_y
_atom_site_fract_z
Pr1 0.0000 0.1738 0.0000
Y1 0.0000 0.0000 0.0000
Y2 0.0000 0.0877 0.5000
Y3 0.0000 0.2733 0.0000
Y4 0.0000 0.4260 0.0000
Th1 0.0000 0.3496 0.5000
Th2 0.0000 0.5000 0.5000
```

The 6 most intense peaks (10° ≤ 2θ ≤ 90°), in order of rising 2θ:
two_theta  I/Imax
14.06  27
28.34  23
29.93  62
31.36  35
33.49  100
55.46  24


Record 4
Calculated powder X-ray diffraction pattern
Compound: Pr3Y3Th
Radiation: CuKα
Structure: DFT lattice parameters and positions (GGA-PBE)
Peak positions follow from Bragg's law for the DFT cell and can differ from measured ones.

Structural model:
```
data_Pr3Y3Th
_space_group_name_H-M_alt 'P 1 21/m 1'
_space_group_IT_number 11
_space_group_name_Hall '-P 2yb'
_cell_length_a 11.5471
_cell_length_b 3.6127
_cell_length_c 11.7677
_cell_angle_alpha 90.00
_cell_angle_beta 93.13
_cell_angle_gamma 90.00
loop_
_atom_site_label
_atom_site_fract_x
_atom_site_fract_y
_atom_site_fract_z
Pr1 0.0299 0.2500 0.3652
Pr2 0.0474 0.2500 0.8873
Pr3 0.4427 0.2500 0.8832
Y1 0.2330 0.2500 0.6621
Y2 0.2606 0.2500 0.1461
Y3 0.2763 0.7500 0.4132
Th1 0.4858 0.7500 0.6304
```

The 6 most intense peaks (10° ≤ 2θ ≤ 90°), in order of rising 2θ:
two_theta  I/Imax
15.37  41
29.02  31
30.43  59
31.02  34
32.59  98
33.40  100


Record 5
Calculated powder X-ray diffraction pattern
Compound: Pr2Y3Th3
Radiation: CuKα
Structure: DFT lattice parameters and positions (GGA-PBE)
Peak positions follow from Bragg's law for the DFT cell and can differ from measured ones.

Structural model:
```
data_Pr2Y3Th3
_space_group_name_H-M_alt 'P -6 2 m'
_space_group_IT_number 189
_space_group_name_Hall 'P -6 -2'
_cell_length_a 9.1473
_cell_length_b 9.1473
_cell_length_c 3.6976
_cell_angle_alpha 90.00
_cell_angle_beta 90.00
_cell_angle_gamma 120.00
loop_
_atom_site_label
_atom_site_fract_x
_atom_site_fract_y
_atom_site_fract_z
Pr1 0.3333 0.6667 0.0000
Y1 0.0000 0.3948 0.5000
Th1 0.0000 0.7758 0.0000
```

The 6 most intense peaks (10° ≤ 2θ ≤ 90°), in order of rising 2θ:
two_theta  I/Imax
29.84  100
31.10  64
33.14  31
38.70  56
58.69  30
58.98  28


Record 6
Calculated powder X-ray diffraction pattern
Compound: Pr2Y2Th15
Radiation: CuKα
Structure: DFT lattice parameters and positions (GGA-PBE)
Peak positions follow from Bragg's law for the DFT cell and can differ from measured ones.

Structural model:
```
data_Pr2Y2Th15
_space_group_name_H-M_alt 'R -3 m'
_space_group_IT_number 166
_space_group_name_Hall '-R 3 2"'
_cell_length_a 11.5461
_cell_length_b 11.5461
_cell_length_c 17.1446
_cell_angle_alpha 90.00
_cell_angle_beta 90.00
_cell_angle_gamma 120.00
loop_
_atom_site_label
_atom_site_fract_x
_atom_site_fract_y
_atom_site_fract_z
Pr1 0.0000 0.0000 0.1585
Y1 0.0000 0.0000 0.3989
Th1 0.0000 0.3029 0.5000
Th2 0.0000 0.5000 0.0000
Th3 0.0134 0.5067 0.6611
```

The 6 most intense peaks (10° ≤ 2θ ≤ 90°), in order of rising 2θ:
two_theta  I/Imax
15.35  29
31.04  100
31.30  32
34.82  67
55.11  17
55.55  20


Record 7
Calculated powder X-ray diffraction pattern
Compound: Pr7Y2Th2
Radiation: CuKα
Structure: DFT lattice parameters and positions (GGA-PBE)
Peak positions follow from Bragg's law for the DFT cell and can differ from measured ones.

Structural model:
```
data_Pr7Y2Th2
_space_group_name_H-M_alt 'C 1 2/m 1'
_space_group_IT_number 12
_space_group_name_Hall '-C 2y'
_cell_length_a 11.7389
_cell_length_b 11.6270
_cell_length_c 6.1266
_cell_angle_alpha 90.00
_cell_angle_beta 112.20
_cell_angle_gamma 90.00
loop_
_atom_site_label
_atom_site_fract_x
_atom_site_fract_y
_atom_site_fract_z
Pr1 0.0000 0.0000 0.0000
Pr2 0.0641 0.5000 0.7949
Pr3 0.1862 0.2222 0.1792
Y1 0.2197 0.0000 0.6072
Th1 0.0000 0.2166 0.5000
```

The 6 most intense peaks (10° ≤ 2θ ≤ 90°), in order of rising 2θ:
two_theta  I/Imax
30.40  17
30.65  19
30.82  100
33.17  25
33.37  26
44.01  14


Record 8
Calculated powder X-ray diffraction pattern
Compound: PrYTh4
Radiation: CuKα
Structure: DFT lattice parameters and positions (GGA-PBE)
Peak positions follow from Bragg's law for the DFT cell and can differ from measured ones.

Structural model:
```
data_PrYTh4
_space_group_name_H-M_alt 'F -4 3 m'
_space_group_IT_number 216
_space_group_name_Hall 'F -4 2 3'
_cell_length_a 9.4271
_cell_length_b 9.4271
_cell_length_c 9.4271
_cell_angle_alpha 90.00
_cell_angle_beta 90.00
_cell_angle_gamma 90.00
loop_
_atom_site_label
_atom_site_fract_x
_atom_site_fract_y
_atom_site_fract_z
Pr1 0.0000 0.0000 0.0000
Y1 0.2500 0.2500 0.2500
Th1 0.1247 0.1247 0.6247
```

The 6 most intense peaks (10° ≤ 2θ ≤ 90°), in order of rising 2θ:
two_theta  I/Imax
16.29  33
31.47  100
32.91  63
50.29  37
55.11  36
65.70  27


Record 9
Calculated powder X-ray diffraction pattern
Compound: Pr3Y2Th2
Radiation: CuKα
Structure: DFT lattice parameters and positions (GGA-PBE)
Peak positions follow from Bragg's law for the DFT cell and can differ from measured ones.

Structural model:
```
data_Pr3Y2Th2
_space_group_name_H-M_alt 'C m m m'
_space_group_IT_number 65
_space_group_name_Hall '-C 2 2'
_cell_length_a 5.6398
_cell_length_b 24.4388
_cell_length_c 3.4746
_cell_angle_alpha 90.00
_cell_angle_beta 90.00
_cell_angle_gamma 90.00
loop_
_atom_site_label
_atom_site_fract_x
_atom_site_fract_y
_atom_site_fract_z
Pr1 0.0000 0.0000 0.0000
Pr2 0.0000 0.2906 0.0000
Y1 0.0000 0.4250 0.5000
Th1 0.0000 0.1411 0.0000
```

The 6 most intense peaks (10° ≤ 2θ ≤ 90°), in order of rising 2θ:
two_theta  I/Imax
25.64  32
30.10  100
30.44  47
31.73  44
39.95  41
61.88  26


Record 10
Calculated powder X-ray diffraction pattern
Compound: Pr6Y5Th2
Radiation: CuKα
Structure: DFT lattice parameters and positions (GGA-PBE)
Peak positions follow from Bragg's law for the DFT cell and can differ from measured ones.

Structural model:
```
data_Pr6Y5Th2
_space_group_name_H-M_alt 'P b a m'
_space_group_IT_number 55
_space_group_name_Hall '-P 2 2ab'
_cell_length_a 11.7164
_cell_length_b 21.1274
_cell_length_c 3.6554
_cell_angle_alpha 90.00
_cell_angle_beta 90.00
_cell_angle_gamma 90.00
loop_
_atom_site_label
_atom_site_fract_x
_atom_site_fract_y
_atom_site_fract_z
Pr1 0.0698 0.1448 0.0000
Pr2 0.0849 0.4381 0.0000
Pr3 0.1810 0.8749 0.5000
Y1 0.0000 0.0000 0.5000
Y2 0.0657 0.2918 0.5000
Y3 0.1826 0.5831 0.5000
Th1 0.1895 0.7326 0.0000
```

The 6 most intense peaks (10° ≤ 2θ ≤ 90°), in order of rising 2θ:
two_theta  I/Imax
30.59  56
30.71  37
30.82  80
31.52  100
33.51  62
35.96  29


Record 11
Calculated powder X-ray diffraction pattern
Compound: PrY3Th
Radiation: CuKα
Structure: DFT lattice parameters and positions (GGA-PBE)
Peak positions follow from Bragg's law for the DFT cell and can differ from measured ones.

Structural model:
```
data_PrY3Th
_space_group_name_H-M_alt 'P -1'
_space_group_IT_number 2
_space_group_name_Hall '-P 1'
_cell_length_a 6.3276
_cell_length_b 6.8573
_cell_length_c 9.3062
_cell_angle_alpha 108.50
_cell_angle_beta 90.01
_cell_angle_gamma 117.42
loop_
_atom_site_label
_atom_site_fract_x
_atom_site_fract_y
_atom_site_fract_z
Pr1 0.0392 0.3889 0.1443
Y1 0.1653 0.9943 0.2514
Y2 0.2324 0.8035 0.5545
Y3 0.3721 0.4010 0.6521
Th1 0.4444 0.2046 0.9558
```

The 6 most intense peaks (10° ≤ 2θ ≤ 90°), in order of rising 2θ:
two_theta  I/Imax
10.18  19
28.23  24
30.82  25
32.25  100
49.97  19
59.86  15


Record 12
Calculated powder X-ray diffraction pattern
Compound: Pr3ThZn4
Radiation: CuKα
Structure: DFT lattice parameters and positions (GGA-PBE)
Peak positions follow from Bragg's law for the DFT cell and can differ from measured ones.

Structural model:
```
data_Pr3ThZn4
_space_group_name_H-M_alt 'P m m m'
_space_group_IT_number 47
_space_group_name_Hall '-P 2 2'
_cell_length_a 3.6882
_cell_length_b 5.2325
_cell_length_c 10.4858
_cell_angle_alpha 90.00
_cell_angle_beta 90.00
_cell_angle_gamma 90.00
loop_
_atom_site_label
_atom_site_fract_x
_atom_site_fract_y
_atom_site_fract_z
Pr1 0.0000 0.0000 0.0000
Pr2 0.0000 0.5000 0.2524
Th1 0.0000 0.0000 0.5000
Zn1 0.5000 0.0000 0.2518
Zn2 0.5000 0.5000 0.0000
Zn3 0.5000 0.5000 0.5000
```

The 6 most intense peaks (10° ≤ 2θ ≤ 90°), in order of rising 2θ:
two_theta  I/Imax
24.03  18
34.24  50
34.31  100
49.20  18
61.36  37
61.50  18